Computed powder XRD pattern of CsNdTe2O6 for copper Kα, from DFT lattice parameters and positions (GGA-PBE).
Neutral-atom scattering factors, no anomalous dispersion.

Largest 8 diffraction maxima, by intensity, 10° ≤ 2θ ≤ 90°:
2theta	intensity	h k l
25.60	1000	2 2 -1
23.36	918	0 0 2
30.67	830	2 2 1
32.97	533	1 3 -2
27.13	390	1 3 -1
25.83	354	1 3 0
30.19	276	3 1 -1
41.68	212	1 3 -3

Atomic structure:
```
data_CsNdTe2O6
_cell_length_a 9.2489
_cell_length_b 11.2375
_cell_length_c 7.9715
_cell_angle_alpha 90.00
_cell_angle_beta 107.15
_cell_angle_gamma 90.00
_space_group_name_H-M_alt 'C 1 2/c 1'
_space_group_IT_number 15
loop_
_space_group_symop_operation_xyz
'x,y,z'
'-x,-y,-z'
'-x,y,-z+1/2'
'x,-y,z+1/2'
'x+1/2,y+1/2,z'
'-x+1/2,-y+1/2,-z'
'-x+1/2,y+1/2,-z+1/2'
'x+1/2,-y+1/2,z+1/2'
loop_
_atom_site_label
_atom_site_type_symbol
_atom_site_fract_x
_atom_site_fract_y
_atom_site_fract_z
_atom_site_occupancy
Cs1 Cs 0.0000 0.1716 0.2500 1
Nd1 Nd 0.0000 0.4433 0.7500 1
Te1 Te 0.2053 0.1183 0.8219 1
O1 O 0.0819 0.3939 0.0626 1
O2 O 0.1817 0.2809 0.7596 1
O3 O 0.2347 0.0434 0.6223 1
```